# 1
Simulated XRD peak list of CsU2H3C4O14 for Cu Kα, from a crystal structure in the Materials Project, relaxed with GGA-PBE.

Peak list (10 most intense, 2θ = 10–80°, in order of falling intensity)
- d = 4.126 Å, 2θ = 21.5°, I 100
- d = 5.083 Å, 2θ = 17.4°, I 66
- d = 4.536 Å, 2θ = 19.6°, I 59
- d = 2.958 Å, 2θ = 30.2°, I 57
- d = 3.521 Å, 2θ = 25.3°, I 41
- d = 4.795 Å, 2θ = 18.5°, I 41
- d = 7.859 Å, 2θ = 11.3°, I 34
- d = 2.939 Å, 2θ = 30.4°, I 30
- d = 3.783 Å, 2θ = 23.5°, I 29
- d = 2.063 Å, 2θ = 43.9°, I 29

Atomic structure:
a b c (Å): 5.5719 13.7099 9.6739
angles (deg): 90.00 97.51 90.00
Positions (direct):
Cs: 0.0405 0.2500 0.1394
Cs: 0.9595 0.7500 0.8606
U: 0.2815 0.5887 0.2614
U: 0.2815 0.9113 0.2614
U: 0.7185 0.0887 0.7386
U: 0.7185 0.4113 0.7386
H: 0.3592 0.6952 0.6330
H: 0.3592 0.8048 0.6330
H: 0.4374 0.2500 0.6367
H: 0.5626 0.7500 0.3633
H: 0.6408 0.1952 0.3670
H: 0.6408 0.3048 0.3670
C: 0.0159 0.5486 0.5396
C: 0.0159 0.9514 0.5396
C: 0.4629 0.0516 0.0201
C: 0.4629 0.4484 0.0201
C: 0.5371 0.5516 0.9799
C: 0.5371 0.9484 0.9799
C: 0.9841 0.0486 0.4604
C: 0.9841 0.4514 0.4604
O: 0.0011 0.1271 0.8359
O: 0.0011 0.3729 0.8359
O: 0.0705 0.0539 0.3462
O: 0.0705 0.4461 0.3462
O: 0.1264 0.6161 0.4837
O: 0.1264 0.8839 0.4837
O: 0.3332 0.0568 0.1178
O: 0.3332 0.4432 0.1178
O: 0.4063 0.7500 0.3048
O: 0.4323 0.0535 0.6421
O: 0.4323 0.4465 0.6421
O: 0.4443 0.7500 0.6818
O: 0.4606 0.6214 0.0476
O: 0.4606 0.8786 0.0476
O: 0.5394 0.1214 0.9524
O: 0.5394 0.3786 0.9524
O: 0.5557 0.2500 0.3182
O: 0.5677 0.5535 0.3579
O: 0.5677 0.9465 0.3579
O: 0.5937 0.2500 0.6952
O: 0.6668 0.5568 0.8822
O: 0.6668 0.9432 0.8822
O: 0.8736 0.1161 0.5163
O: 0.8736 0.3839 0.5163
O: 0.9295 0.5539 0.6538
O: 0.9295 0.9461 0.6538
O: 0.9989 0.6271 0.1641
O: 0.9989 0.8729 0.1641



# 2
Simulated XRD peak list of Cs2HgC2SI4O for Cu Kα, from a crystal structure in the Materials Project, relaxed with GGA-PBE.

Peak list (10 most intense, 2θ = 10–80°, in order of falling intensity)
- d = 3.855 Å, 2θ = 23.1°, I 100
- d = 2.897 Å, 2θ = 30.9°, I 84
- d = 7.628 Å, 2θ = 11.6°, I 69
- d = 3.254 Å, 2θ = 27.4°, I 59
- d = 2.822 Å, 2θ = 31.7°, I 56
- d = 4.127 Å, 2θ = 21.5°, I 52
- d = 7.548 Å, 2θ = 11.7°, I 43
- d = 4.839 Å, 2θ = 18.3°, I 43
- d = 3.230 Å, 2θ = 27.6°, I 35
- d = 3.525 Å, 2θ = 25.3°, I 34

Atomic structure:
a b c (Å): 8.5971 9.9890 11.7333
angles (deg): 81.96 73.49 76.36
Positions (direct):
Cs: 0.1698 0.1745 0.4161
Cs: 0.2637 0.2169 0.8892
Cs: 0.7363 0.7831 0.1108
Cs: 0.8302 0.8255 0.5839
Hg: 0.2804 0.7851 0.7329
Hg: 0.7196 0.2149 0.2671
C: 0.2926 0.5351 0.2721
C: 0.4501 0.4926 0.2424
C: 0.5499 0.5074 0.7576
C: 0.7074 0.4649 0.7279
S: 0.1015 0.6133 0.2783
S: 0.8985 0.3867 0.7217
I: 0.0178 0.9572 0.2261
I: 0.0535 0.6077 0.8334
I: 0.4146 0.8052 0.4864
I: 0.4722 0.8305 0.8776
I: 0.5278 0.1695 0.1224
I: 0.5854 0.1948 0.5136
I: 0.9465 0.3923 0.1666
I: 0.9822 0.0428 0.7739
O: 0.0048 0.3820 0.5976
O: 0.9952 0.6180 0.4024



# 3
Simulated XRD peak list of Cs2HgC2SI4O for Cu Kα, from a crystal structure in the Materials Project, relaxed with GGA-PBE.

Peak list (10 most intense, 2θ = 10–80°, in order of falling intensity)
- d = 3.830 Å, 2θ = 23.2°, I 100
- d = 3.209 Å, 2θ = 27.8°, I 80
- d = 4.822 Å, 2θ = 18.4°, I 75
- d = 2.969 Å, 2θ = 30.1°, I 73
- d = 5.196 Å, 2θ = 17.1°, I 56
- d = 7.822 Å, 2θ = 11.3°, I 55
- d = 2.946 Å, 2θ = 30.3°, I 54
- d = 3.527 Å, 2θ = 25.3°, I 45
- d = 3.483 Å, 2θ = 25.6°, I 45
- d = 3.281 Å, 2θ = 27.2°, I 36

Atomic structure:
a b c (Å): 8.4812 9.9935 12.0077
angles (deg): 80.44 74.51 76.12
Positions (direct):
Cs: 0.1738 0.1971 0.4201
Cs: 0.2930 0.2398 0.8818
Cs: 0.7070 0.7602 0.1182
Cs: 0.8262 0.8029 0.5799
Hg: 0.3729 0.6789 0.7310
Hg: 0.6271 0.3211 0.2690
C: 0.2903 0.5813 0.2633
C: 0.4275 0.5013 0.2605
C: 0.5725 0.4987 0.7395
C: 0.7097 0.4187 0.7367
S: 0.0867 0.6431 0.2664
S: 0.9133 0.3569 0.7336
I: 0.0380 0.6487 0.8348
I: 0.0716 0.9130 0.2262
I: 0.3818 0.8119 0.5025
I: 0.4576 0.8534 0.8714
I: 0.5424 0.1466 0.1286
I: 0.6182 0.1881 0.4975
I: 0.9284 0.0870 0.7738
I: 0.9620 0.3513 0.1652
O: 0.0128 0.3841 0.6128
O: 0.9872 0.6159 0.3872



# 4
Simulated XRD peak list of Cs2PtC4I2N4 for Cu Kα, from a crystal structure in the Materials Project, relaxed with GGA-PBE.

Peak list (10 most intense, 2θ = 10–80°, in order of falling intensity)
- d = 3.320 Å, 2θ = 26.9°, I 100
- d = 4.622 Å, 2θ = 19.2°, I 92
- d = 4.569 Å, 2θ = 19.4°, I 88
- d = 5.683 Å, 2θ = 15.6°, I 86
- d = 3.780 Å, 2θ = 23.5°, I 85
- d = 4.166 Å, 2θ = 21.3°, I 78
- d = 3.263 Å, 2θ = 27.3°, I 77
- d = 6.792 Å, 2θ = 13.0°, I 73
- d = 3.140 Å, 2θ = 28.4°, I 70
- d = 2.503 Å, 2θ = 35.9°, I 63

Atomic structure:
a b c (Å): 7.8910 10.0148 9.6486
angles (deg): 90.00 106.67 90.00
Positions (direct):
Cs: 0.0226 0.2180 0.3838
Cs: 0.0226 0.2820 0.8838
Cs: 0.9774 0.7180 0.1162
Cs: 0.9774 0.7820 0.6162
Pt: 0.5000 0.0000 0.0000
Pt: 0.5000 0.5000 0.5000
C: 0.3105 0.0257 0.1005
C: 0.3105 0.4743 0.6005
C: 0.3203 0.0375 0.8087
C: 0.3203 0.4625 0.3087
C: 0.6797 0.5375 0.6913
C: 0.6797 0.9625 0.1913
C: 0.6895 0.5257 0.3995
C: 0.6895 0.9743 0.8995
I: 0.4219 0.7342 0.9701
I: 0.4219 0.7658 0.4701
I: 0.5781 0.2342 0.5299
I: 0.5781 0.2658 0.0299
N: 0.1976 0.0420 0.1555
N: 0.1976 0.4580 0.6555
N: 0.2114 0.0604 0.7000
N: 0.2114 0.4396 0.2000
N: 0.7886 0.5604 0.8000
N: 0.7886 0.9396 0.3000
N: 0.8024 0.5420 0.3445
N: 0.8024 0.9580 0.8445



# 5
Simulated XRD peak list of CsPr3CI6 for Cu Kα, from a crystal structure in the Materials Project, relaxed with GGA-PBE.

Peak list (10 most intense, 2θ = 10–80°, in order of falling intensity)
- d = 3.220 Å, 2θ = 27.7°, I 100
- d = 3.076 Å, 2θ = 29.0°, I 77
- d = 3.045 Å, 2θ = 29.3°, I 77
- d = 2.194 Å, 2θ = 41.1°, I 30
- d = 2.232 Å, 2θ = 40.4°, I 30
- d = 2.269 Å, 2θ = 39.7°, I 29
- d = 2.182 Å, 2θ = 41.4°, I 29
- d = 2.170 Å, 2θ = 41.6°, I 29
- d = 3.010 Å, 2θ = 29.7°, I 23
- d = 2.158 Å, 2θ = 41.9°, I 23

Atomic structure:
a b c (Å): 9.6567 9.7100 10.2624
angles (deg): 71.04 84.63 89.40
Positions (direct):
Cs: 0.0332 0.1294 0.1715
Cs: 0.9668 0.8706 0.8285
Pr: 0.2473 0.5831 0.5025
Pr: 0.4178 0.2486 0.5057
Pr: 0.4744 0.3933 0.8156
Pr: 0.5256 0.6067 0.1844
Pr: 0.5822 0.7514 0.4943
Pr: 0.7527 0.4169 0.4975
C: 0.4942 0.4759 0.5728
C: 0.5058 0.5241 0.4272
I: 0.0915 0.2955 0.4960
I: 0.1624 0.5041 0.8333
I: 0.2150 0.7249 0.1738
I: 0.2914 0.9113 0.5010
I: 0.3447 0.0869 0.8340
I: 0.4217 0.2948 0.1732
I: 0.5783 0.7052 0.8268
I: 0.6553 0.9131 0.1660
I: 0.7086 0.0887 0.4990
I: 0.7850 0.2751 0.8262
I: 0.8376 0.4959 0.1667
I: 0.9085 0.7045 0.5040



# 6
Simulated XRD peak list of CsY10C4I18 for Cu Kα, from a crystal structure in the Materials Project, relaxed with GGA-PBE.

Peak list (10 most intense, 2θ = 10–80°, in order of falling intensity)
- d = 2.977 Å, 2θ = 30.0°, I 100
- d = 3.138 Å, 2θ = 28.4°, I 63
- d = 2.159 Å, 2θ = 41.8°, I 56
- d = 3.534 Å, 2θ = 25.2°, I 42
- d = 3.465 Å, 2θ = 25.7°, I 21
- d = 3.456 Å, 2θ = 25.8°, I 20
- d = 2.163 Å, 2θ = 41.8°, I 19
- d = 2.138 Å, 2θ = 42.3°, I 18
- d = 1.767 Å, 2θ = 51.7°, I 17
- d = 1.819 Å, 2θ = 50.2°, I 17

Atomic structure:
a b c (Å): 11.3291 11.3846 11.5027
angles (deg): 66.74 87.19 60.67
Positions (direct):
Cs: 0.0000 0.0000 0.0000
Y: 0.1753 0.2764 0.2102
Y: 0.2225 0.3531 0.4847
Y: 0.3938 0.9441 0.4993
Y: 0.4074 0.3931 0.2080
Y: 0.4650 0.9623 0.8237
Y: 0.5350 0.0377 0.1763
Y: 0.5926 0.6069 0.7920
Y: 0.6062 0.0559 0.5007
Y: 0.7775 0.6469 0.5153
Y: 0.8247 0.7236 0.7898
C: 0.3483 0.2203 0.3787
C: 0.4229 0.1453 0.3029
C: 0.5771 0.8547 0.6971
C: 0.6517 0.7797 0.6213
I: 0.0532 0.5291 0.6685
I: 0.1122 0.0394 0.3413
I: 0.1417 0.5675 0.9989
I: 0.1811 0.0955 0.6705
I: 0.2380 0.6253 0.3173
I: 0.2750 0.1442 0.9989
I: 0.3340 0.6878 0.6535
I: 0.4328 0.7006 0.0030
I: 0.4773 0.2454 0.6706
I: 0.5227 0.7546 0.3294
I: 0.5672 0.2994 0.9970
I: 0.6660 0.3122 0.3465
I: 0.7250 0.8558 0.0011
I: 0.7620 0.3747 0.6827
I: 0.8189 0.9045 0.3295
I: 0.8583 0.4325 0.0011
I: 0.8878 0.9606 0.6587
I: 0.9468 0.4709 0.3315



# 7
Simulated XRD peak list of Cs2Zr7CI18 for Cu Kα, from a crystal structure in the Materials Project, relaxed with GGA-PBE.

Peak list (10 most intense, 2θ = 10–80°, in order of falling intensity)
- d = 3.104 Å, 2θ = 28.8°, I 100
- d = 3.266 Å, 2θ = 27.3°, I 63
- d = 2.094 Å, 2θ = 43.2°, I 45
- d = 1.773 Å, 2θ = 51.5°, I 31
- d = 2.607 Å, 2θ = 34.4°, I 30
- d = 3.333 Å, 2θ = 26.7°, I 29
- d = 1.947 Å, 2θ = 46.6°, I 27
- d = 8.085 Å, 2θ = 10.9°, I 23
- d = 2.769 Å, 2θ = 32.3°, I 22
- d = 3.526 Å, 2θ = 25.3°, I 18

Atomic structure:
a b c (Å): 11.8716 11.8716 11.8716
angles (deg): 55.65 55.65 55.65
Positions (direct):
Cs: 0.2243 0.2243 0.2243
Cs: 0.7757 0.7757 0.7757
Zr: 0.0885 0.1860 0.8566
Zr: 0.1434 0.9115 0.8140
Zr: 0.1860 0.8566 0.0885
Zr: 0.5000 0.5000 0.5000
Zr: 0.8140 0.1435 0.9115
Zr: 0.8566 0.0885 0.1860
Zr: 0.9115 0.8140 0.1434
C: 0.0000 0.0000 0.0000
I: 0.0544 0.9325 0.3433
I: 0.0675 0.6567 0.9456
I: 0.1236 0.5880 0.2874
I: 0.2181 0.4711 0.6445
I: 0.2874 0.1236 0.5880
I: 0.3433 0.0544 0.9325
I: 0.3555 0.7819 0.5289
I: 0.4120 0.7126 0.8764
I: 0.4711 0.6445 0.2181
I: 0.5289 0.3555 0.7819
I: 0.5880 0.2874 0.1236
I: 0.6445 0.2181 0.4711
I: 0.6567 0.9456 0.0675
I: 0.7126 0.8764 0.4120
I: 0.7819 0.5289 0.3555
I: 0.8764 0.4120 0.7126
I: 0.9325 0.3433 0.0544
I: 0.9456 0.0675 0.6567



# 8
Simulated XRD peak list of CsKC2 for Cu Kα, from a crystal structure in the Materials Project, relaxed with GGA-PBE.

Peak list (10 most intense, 2θ = 10–80°, in order of falling intensity)
- d = 3.320 Å, 2θ = 26.9°, I 100
- d = 3.165 Å, 2θ = 28.2°, I 99
- d = 4.964 Å, 2θ = 17.9°, I 61
- d = 2.946 Å, 2θ = 30.3°, I 37
- d = 2.878 Å, 2θ = 31.1°, I 35
- d = 2.058 Å, 2θ = 44.0°, I 31
- d = 4.109 Å, 2θ = 21.6°, I 24
- d = 1.689 Å, 2θ = 54.3°, I 22
- d = 3.067 Å, 2θ = 29.1°, I 22
- d = 2.076 Å, 2θ = 43.6°, I 19

Atomic structure:
a b c (Å): 8.2170 5.8916 9.2162
angles (deg): 90.00 90.00 90.00
Positions (direct):
Cs: 0.0140 0.2500 0.1799
Cs: 0.4860 0.7500 0.6799
Cs: 0.5140 0.2500 0.3201
Cs: 0.9860 0.7500 0.8201
K: 0.1443 0.2500 0.5802
K: 0.3557 0.7500 0.0802
K: 0.6443 0.2500 0.9198
K: 0.8557 0.7500 0.4198
C: 0.2267 0.6425 0.3904
C: 0.2267 0.8575 0.3904
C: 0.2733 0.1425 0.8904
C: 0.2733 0.3575 0.8904
C: 0.7267 0.6425 0.1096
C: 0.7267 0.8575 0.1096
C: 0.7733 0.1425 0.6096
C: 0.7733 0.3575 0.6096



# 9
Simulated XRD peak list of Cs2KMnC6N6 for Cu Kα, from a crystal structure in the Materials Project, relaxed with GGA-PBE.

Peak list (10 most intense, 2θ = 10–80°, in order of falling intensity)
- d = 3.972 Å, 2θ = 22.4°, I 100
- d = 2.809 Å, 2θ = 31.9°, I 38
- d = 3.857 Å, 2θ = 23.1°, I 38
- d = 2.517 Å, 2θ = 35.7°, I 28
- d = 5.028 Å, 2θ = 17.6°, I 22
- d = 4.112 Å, 2θ = 21.6°, I 19
- d = 2.728 Å, 2θ = 32.8°, I 17
- d = 5.618 Å, 2θ = 15.8°, I 16
- d = 2.251 Å, 2θ = 40.1°, I 16
- d = 2.244 Å, 2θ = 40.2°, I 15

Atomic structure:
a b c (Å): 7.7083 8.2235 13.5868
angles (deg): 90.00 124.30 90.00
Positions (direct):
Cs: 0.2275 0.0700 0.2493
Cs: 0.2275 0.4300 0.7493
Cs: 0.7725 0.5700 0.2507
Cs: 0.7725 0.9300 0.7507
K: 0.0000 0.0000 0.5000
K: 0.0000 0.5000 0.0000
Mn: 0.5000 0.0000 0.0000
Mn: 0.5000 0.5000 0.5000
C: 0.2552 0.1286 0.9673
C: 0.2552 0.3714 0.4673
C: 0.3339 0.7032 0.4597
C: 0.3339 0.7968 0.9597
C: 0.4037 0.0229 0.8315
C: 0.4037 0.4771 0.3315
C: 0.5963 0.5229 0.6685
C: 0.5963 0.9771 0.1685
C: 0.6661 0.2032 0.0403
C: 0.6661 0.2968 0.5403
C: 0.7448 0.6286 0.5327
C: 0.7448 0.8714 0.0327
N: 0.1085 0.2052 0.9457
N: 0.1085 0.2948 0.4457
N: 0.2327 0.6774 0.9339
N: 0.2327 0.8226 0.4339
N: 0.3489 0.0411 0.7319
N: 0.3489 0.4589 0.2319
N: 0.6511 0.5411 0.7681
N: 0.6511 0.9589 0.2681
N: 0.7673 0.1774 0.5661
N: 0.7673 0.3226 0.0661
N: 0.8915 0.7052 0.5543
N: 0.8915 0.7948 0.0543